For MoPbSeO6, DFT lattice parameters and positions (GGA+U) gives the computed PXRD pattern in this record (Cu Kα).
Kinematic intensities with the Lorentz-polarization factor, no thermal factor.

Top 12 peaks for 10 to 80 degrees two-theta, by angle:
2θ (°)	I/Imax
15.80	19
17.51	19
24.61	68
25.81	30
27.47	18
27.89	24
28.57	33
29.19	100
31.17	24
31.29	24
32.29	20
44.82	27

Cell and atoms:
a b c (Å): 7.0309 7.3378 11.2006
angles (deg): 80.65 79.25 89.79
Space group P-1 (No. 2)
Symmetry-distinct sites (fractional):
Mo 0.1701 0.4551 0.2007 (multiplicity 2)
Mo 0.1725 0.9524 0.2030 (multiplicity 2)
Pb 0.2462 0.6406 0.5099 (multiplicity 2)
Pb 0.3345 0.7921 0.8420 (multiplicity 2)
Se 0.2940 0.1427 0.4651 (multiplicity 2)
Se 0.3828 0.3099 0.7793 (multiplicity 2)
O 0.0761 0.0010 0.7599 (multiplicity 2)
O 0.0815 0.6114 0.7542 (multiplicity 2)
O 0.1471 0.6859 0.2705 (multiplicity 2)
O 0.1827 0.5491 0.0465 (multiplicity 2)
O 0.1868 0.3429 0.4023 (multiplicity 2)
O 0.2028 0.9358 0.0470 (multiplicity 2)
O 0.2095 0.9686 0.3958 (multiplicity 2)
O 0.2727 0.2114 0.1775 (multiplicity 2)
O 0.4315 0.3662 0.6197 (multiplicity 2)
O 0.4661 0.8243 0.6090 (multiplicity 2)
O 0.4828 0.5192 0.1799 (multiplicity 2)
O 0.4893 0.8904 0.1933 (multiplicity 2)